For FeC6N6, a PBE-relaxed structure gives the computed powder diffraction line list in this record (a wavelength of 1.5418 Å).
Lines closer than 0.1° are merged.

Structural model:
Cell lengths 6.8433, 6.8433, 6.0123 Å; angles 90.00, 90.00, 120.00 degrees
Space group P-31m (No. 162)
Unique sites:
Fe 0.0000 0.0000 0.0000 (multiplicity 1)
C 0.0000 0.2247 0.1880 (multiplicity 6)
N 0.0000 0.3632 0.3058 (multiplicity 6)

Top 10 peaks for 2θ from 5° to 70°, by angle:
index	Position (°2θ)	I_rel
0 0 1	14.73	16
1 0 0	14.95	100
1 0 1	21.05	71
2 -1 1	30.05	76
2 0 0	30.16	9
1 0 2	33.42	8
1 1 2	39.92	22
3 -1 1	43.09	10
3 0 0	45.94	12
3 -1 2	50.83	15